This entry pairs a crystal structure of CaSmY with its calculated powder diffractogram. Radiation: Cu Kα (λ = 1.5418 Å). Structure: a PBE-relaxed structure.
Neutral-atom scattering factors, no anomalous dispersion.

Peak list (10 most intense, 15° ≤ 2θ ≤ 90°, sorted by position)
- 27.87°, I = 24, hkl 1 0 0
- 29.57°, I = 33, hkl 0 0 6
- 31.63°, I = 100, hkl 1 0 3
- 34.29°, I = 17, hkl 1 0 4
- 41.08°, I = 15, hkl 0 1 6
- 49.30°, I = 20, hkl 1 1 0
- 53.77°, I = 18, hkl 1 0 9
- 58.53°, I = 29, hkl 1 1 6
- 59.76°, I = 16, hkl 0 2 3
- 81.04°, I = 13, hkl 2 1 3

Cell and atoms:
Unit cell a=3.697 b=3.697 c=18.128 alpha=90.00 beta=90.00 gamma=120.00
Fractional coordinates of all 6 atoms:
1 Ca 0.333 0.667 0.092
2 Ca 0.667 0.333 0.908
3 Sm 0.333 0.667 0.418
4 Sm 0.667 0.333 0.582
5 Y 0.333 0.667 0.737
6 Y 0.667 0.333 0.263